For TbNi7B5, the GGA-PBE geometry in Alexandria gives the simulated powder X-ray diffraction pattern in this record (CuKα).
No peak broadening, texture or thermal motion is included.

Cell and atoms:
```
TbNi7B5
1.0
-2.217 3.819 3.727
2.217 -3.819 3.727
2.217 3.819 -3.727
Tb Ni B
1 7 5
Direct
0.000 0.000 0.000
0.256 0.546 0.710
0.321 0.974 0.346
0.348 0.348 0.000
0.628 0.974 0.654
0.659 0.659 0.000
0.776 0.276 0.500
0.837 0.546 0.290
0.016 0.060 0.549
0.016 0.466 0.955
0.241 0.741 0.500
0.511 0.060 0.045
0.511 0.466 0.451
```

Top 10 peaks for 10 to 90 degrees two-theta, by intensity:
2θ (°)	I (rel.)
40.87	1000
40.69	970
47.89	940
41.67	854
48.28	827
23.88	608
23.25	585
33.21	507
38.09	377
47.73	299